For SrNiPtO4, a crystal structure in Alexandria, relaxed with PBE+U gives the computed XRD peak list in this record (CuKα).

Structure:
```
data_SrNiPtO4
_chemical_formula_sum 'Sr4 Ni4 Pt4 O16'
_cell_length_a 6.235
_cell_length_b 6.384
_cell_length_c 9.606
_cell_angle_alpha 90.00
_cell_angle_beta 90.00
_cell_angle_gamma 90.00
_symmetry_space_group_name_H-M 'I m m a'
_symmetry_Int_Tables_number 74
_symmetry_space_group_name_Hall '-I 2b 2'
loop_
_atom_site_label
_atom_site_type_symbol
_atom_site_fract_x
_atom_site_fract_y
_atom_site_fract_z
Sr1 Sr 0.000 0.250 0.137
Ni1 Ni 0.250 0.250 0.750
Pt1 Pt 0.000 0.000 0.500
O1 O 0.000 0.033 0.714
O2 O 0.208 0.250 0.521
```

The 8 most intense peaks (15 to 90 degrees two-theta), most intense first:
(1 2 1), 32.87 deg, d 2.725, rel. 100; (1 0 1), 16.95 deg, d 5.230, rel. 93; (1 0 3), 31.41 deg, d 2.848, rel. 59; (2 2 4), 56.30 deg, d 1.634, rel. 50; (0 2 2), 33.72 deg, d 2.658, rel. 34; (3 2 1), 53.47 deg, d 1.714, rel. 31; (2 0 0), 28.64 deg, d 3.117, rel. 28; (2 1 1), 33.32 deg, d 2.689, rel. 27